1.
This entry pairs a crystal structure of Pa2Zn4O9 with its calculated powder X-ray diffraction pattern. Radiation: Cu Kα (λ = 1.5418 Å). Structure: a structure optimized by DFT (GGA-PBE).
No peak broadening, texture or thermal motion is included.

Top 10 peaks for 2θ from 10° to 90°, by intensity:
hkl	2θ (°)	I_rel
2 0 -4	30.43	100
3 1 0	33.18	67
2 0 0	18.98	54
4 0 4	45.63	37
1 3 4	57.57	36
3 1 6	49.51	24
6 0 0	59.27	20
3 1 4	41.10	14
2 0 8	52.26	13
2 0 2	22.36	13

Cell and atoms:
Lattice parameters (Å, degrees): 9.3477 5.4041 15.0999 90.00 90.07 90.00
Space group C2/c (No. 15)
Asymmetric unit:
Pa1 0.0001 0.9996 0.1385 x8
Zn1 0.1664 0.4998 0.1910 x8
Zn2 0.1666 0.4999 0.4862 x8
O1 0.0000 0.2983 0.2500 x4
O2 0.0119 0.3563 0.5818 x8
O3 0.1496 0.1497 0.7500 x8
O4 0.1718 0.1948 0.0814 x8
O5 0.1835 0.1601 0.4185 x8

***

2.
This entry pairs a crystal structure of PaZn2O4 with its calculated powder X-ray diffraction pattern. Radiation: Cu Kα (λ = 1.5418 Å). Structure: a structure optimized by DFT (GGA-PBE).
No peak broadening, texture or thermal motion is included.

Top 10 peaks for 2θ from 10° to 90°, by intensity:
hkl	2θ (°)	I_rel
1 1 1	31.36	100
1 3 0	31.51	94
0 2 1	30.54	74
1 1 0	18.92	65
2 2 1	46.22	47
3 3 0	59.03	40
1 5 1	54.99	36
2 0 0	33.84	33
1 3 2	61.02	28
0 2 0	17.58	28

Cell and atoms:
Lattice parameters (Å, degrees): 5.2979 10.0894 3.5939 90.00 90.00 90.00
Space group Pbam (No. 55)
Asymmetric unit:
Pa1 0.0000 0.0000 0.0000 x2
Zn1 0.0241 0.3247 0.5000 x4
O1 0.1499 0.1252 0.5000 x4
O2 0.1693 0.3750 0.0000 x4